The following is a calculated powder diffraction line list of GdMoO4F. It was derived from a structure optimized by DFT (PBE+U), using Cu Kα (λ = 1.5418 Å).
Neutral-atom scattering factors, no anomalous dispersion.

Largest 10 diffraction maxima, low angle first, 2θ from 5° to 70°:
(hkl)  2θ/deg  Rel. int.
0 2 0  14.1  46
1 1 0  19.5  26
1 2 -1  23.0  60
1 0 -2  27.1  31
1 1 1  28.0  100
1 2 1  30.7  33
0 4 1  31.8  27
2 1 -1  34.4  25
2 2 -3  47.0  17
1 5 2  54.5  23

Lattice parameters (Å, degrees): 5.3231 12.5829 6.8238 90.00 113.15 90.00
Space group P2_1/c (No. 14)
Inequivalent atoms, fractional coordinates:
Gd 0.1395 0.0525 0.2992 (multiplicity 4)
Mo 0.4195 0.1424 0.8683 (multiplicity 4)
O 0.1927 0.0659 0.9608 (multiplicity 4)
O 0.2667 0.6520 0.4105 (multiplicity 4)
O 0.3068 0.2249 0.2944 (multiplicity 4)
O 0.4952 0.0690 0.6644 (multiplicity 4)
F 0.0424 0.5984 0.9610 (multiplicity 4)